Entry 1:
TaP2Ir: computed X-ray diffraction stick pattern (Cu Ka), based on DFT lattice parameters and positions (GGA-PBE).
Kinematic intensities with the Lorentz-polarization factor, no thermal factor.

Top 12 peaks for 10 to 90 degrees two-theta, most intense first:
- 2θ 41.6, intensity 100
- 2θ 27.8, intensity 86
- 2θ 37.0, intensity 55
- 2θ 34.1, intensity 32
- 2θ 51.2, intensity 28
- 2θ 65.8, intensity 20
- 2θ 67.6, intensity 19
- 2θ 62.2, intensity 19
- 2θ 77.9, intensity 16
- 2θ 66.1, intensity 15
- 2θ 54.3, intensity 13
- 2θ 54.4, intensity 13

Structural model:
```
data_TaP2Ir
_cell_length_a 5.7768
_cell_length_b 5.7768
_cell_length_c 5.7768
_cell_angle_alpha 146.08
_cell_angle_beta 146.02
_cell_angle_gamma 48.78
_space_group_name_H-M_alt 'P 1'
_space_group_IT_number 1
_space_group_name_Hall 'P 1'
loop_
_atom_site_label
_atom_site_type_symbol
_atom_site_fract_x
_atom_site_fract_y
_atom_site_fract_z
_atom_site_occupancy
Ta1 Ta 0.0000 0.0000 0.0000 1
P1 P 0.1780 0.6780 0.5000 1
P2 P 0.4140 0.4140 0.0000 1
Ir1 Ir 0.7416 0.2416 0.5000 1
```

Entry 2:
Nd8Si3Te3S: computed X-ray diffraction stick pattern (Cu Ka), based on DFT lattice parameters and positions (GGA-PBE).
Kinematic intensities with the Lorentz-polarization factor, no thermal factor.

Top 12 peaks for 10 to 90 degrees two-theta, most intense first:
- 2θ 29.0, intensity 100
- 2θ 42.1, intensity 38
- 2θ 41.0, intensity 34
- 2θ 25.3, intensity 23
- 2θ 52.0, intensity 20
- 2θ 69.0, intensity 17
- 2θ 67.4, intensity 12
- 2θ 31.6, intensity 12
- 2θ 76.2, intensity 11
- 2θ 60.2, intensity 11
- 2θ 57.3, intensity 9
- 2θ 49.3, intensity 7

Structural model:
```
data_Nd8Si3Te3S
_cell_length_a 8.8172
_cell_length_b 8.8172
_cell_length_c 8.8172
_cell_angle_alpha 58.25
_cell_angle_beta 58.25
_cell_angle_gamma 58.25
_space_group_name_H-M_alt 'P 1'
_space_group_IT_number 1
_space_group_name_Hall 'P 1'
loop_
_atom_site_label
_atom_site_type_symbol
_atom_site_fract_x
_atom_site_fract_y
_atom_site_fract_z
_atom_site_occupancy
Nd1 Nd 0.2411 0.2411 0.2411 1
Nd2 Nd 0.2408 0.7385 0.7385 1
Nd3 Nd 0.2615 0.2615 0.7592 1
Nd4 Nd 0.2615 0.7592 0.2615 1
Nd5 Nd 0.7385 0.2408 0.7385 1
Nd6 Nd 0.7385 0.7385 0.2408 1
Nd7 Nd 0.7592 0.2615 0.2615 1
Nd8 Nd 0.7589 0.7589 0.7589 1
Si1 Si 0.0000 0.0000 0.5000 1
Si2 Si 0.0000 0.5000 0.0000 1
Si3 Si 0.5000 0.0000 0.0000 1
Te1 Te 0.0000 0.5000 0.5000 1
Te2 Te 0.5000 0.0000 0.5000 1
Te3 Te 0.5000 0.5000 0.0000 1
S1 S 0.5000 0.5000 0.5000 1
```

Entry 3:
SmDy2TmBi5: computed X-ray diffraction stick pattern (Cu Ka), based on DFT lattice parameters and positions (GGA-PBE).
Kinematic intensities with the Lorentz-polarization factor, no thermal factor.

Top 12 peaks for 10 to 90 degrees two-theta, most intense first:
- 2θ 33.5, intensity 100
- 2θ 45.4, intensity 86
- 2θ 29.8, intensity 66
- 2θ 23.5, intensity 62
- 2θ 27.9, intensity 55
- 2θ 24.7, intensity 51
- 2θ 57.6, intensity 44
- 2θ 38.3, intensity 38
- 2θ 48.1, intensity 37
- 2θ 32.6, intensity 35
- 2θ 87.8, intensity 28
- 2θ 72.2, intensity 21

Structural model:
```
data_SmDy2TmBi5
_cell_length_a 5.3529
_cell_length_b 5.3529
_cell_length_c 12.0022
_cell_angle_alpha 90.00
_cell_angle_beta 90.00
_cell_angle_gamma 90.00
_space_group_name_H-M_alt 'P 1'
_space_group_IT_number 1
_space_group_name_Hall 'P 1'
loop_
_atom_site_label
_atom_site_type_symbol
_atom_site_fract_x
_atom_site_fract_y
_atom_site_fract_z
_atom_site_occupancy
Sm1 Sm 0.0000 0.0000 0.0000 1
Dy1 Dy 0.5000 0.5000 0.2637 1
Dy2 Dy 0.5000 0.5000 0.7363 1
Tm1 Tm 0.0000 0.0000 0.5000 1
Bi1 Bi 0.0000 0.0000 0.2488 1
Bi2 Bi 0.0000 0.0000 0.7512 1
Bi3 Bi 0.0000 0.5000 0.5000 1
Bi4 Bi 0.5000 0.0000 0.5000 1
Bi5 Bi 0.5000 0.5000 0.0000 1
```

Entry 4:
ZnH: computed X-ray diffraction stick pattern (Cu Ka), based on DFT lattice parameters and positions (GGA-PBE).
Kinematic intensities with the Lorentz-polarization factor, no thermal factor.

Top 10 peaks for 10 to 90 degrees two-theta, most intense first:
- 2θ 46.9, intensity 100
- 2θ 38.3, intensity 97
- 2θ 26.0, intensity 83
- 2θ 67.7, intensity 33
- 2θ 75.3, intensity 23
- 2θ 87.8, intensity 15
- 2θ 69.2, intensity 15
- 2θ 53.5, intensity 12
- 2θ 82.0, intensity 9
- 2θ 85.0, intensity 3

Structural model:
```
data_ZnH
_cell_length_a 2.7150
_cell_length_b 2.7150
_cell_length_c 3.4242
_cell_angle_alpha 90.00
_cell_angle_beta 90.00
_cell_angle_gamma 120.00
_space_group_name_H-M_alt 'P 1'
_space_group_IT_number 1
_space_group_name_Hall 'P 1'
loop_
_atom_site_label
_atom_site_type_symbol
_atom_site_fract_x
_atom_site_fract_y
_atom_site_fract_z
_atom_site_occupancy
Zn1 Zn 0.0000 0.0000 0.0000 1
H1 H 0.0000 0.0000 0.5000 1
```

Please write out number 2 again, unchanged.
Nd8Si3Te3S: computed X-ray diffraction stick pattern (Cu Ka), based on DFT lattice parameters and positions (GGA-PBE).
Kinematic intensities with the Lorentz-polarization factor, no thermal factor.

Top 12 peaks for 10 to 90 degrees two-theta, most intense first:
- 2θ 29.0, intensity 100
- 2θ 42.1, intensity 38
- 2θ 41.0, intensity 34
- 2θ 25.3, intensity 23
- 2θ 52.0, intensity 20
- 2θ 69.0, intensity 17
- 2θ 67.4, intensity 12
- 2θ 31.6, intensity 12
- 2θ 76.2, intensity 11
- 2θ 60.2, intensity 11
- 2θ 57.3, intensity 9
- 2θ 49.3, intensity 7

Structural model:
```
data_Nd8Si3Te3S
_cell_length_a 8.8172
_cell_length_b 8.8172
_cell_length_c 8.8172
_cell_angle_alpha 58.25
_cell_angle_beta 58.25
_cell_angle_gamma 58.25
_space_group_name_H-M_alt 'P 1'
_space_group_IT_number 1
_space_group_name_Hall 'P 1'
loop_
_atom_site_label
_atom_site_type_symbol
_atom_site_fract_x
_atom_site_fract_y
_atom_site_fract_z
_atom_site_occupancy
Nd1 Nd 0.2411 0.2411 0.2411 1
Nd2 Nd 0.2408 0.7385 0.7385 1
Nd3 Nd 0.2615 0.2615 0.7592 1
Nd4 Nd 0.2615 0.7592 0.2615 1
Nd5 Nd 0.7385 0.2408 0.7385 1
Nd6 Nd 0.7385 0.7385 0.2408 1
Nd7 Nd 0.7592 0.2615 0.2615 1
Nd8 Nd 0.7589 0.7589 0.7589 1
Si1 Si 0.0000 0.0000 0.5000 1
Si2 Si 0.0000 0.5000 0.0000 1
Si3 Si 0.5000 0.0000 0.0000 1
Te1 Te 0.0000 0.5000 0.5000 1
Te2 Te 0.5000 0.0000 0.5000 1
Te3 Te 0.5000 0.5000 0.0000 1
S1 S 0.5000 0.5000 0.5000 1
```

What did the first record say?
TaP2Ir: computed X-ray diffraction stick pattern (Cu Ka), based on DFT lattice parameters and positions (GGA-PBE).
Kinematic intensities with the Lorentz-polarization factor, no thermal factor.

Top 12 peaks for 10 to 90 degrees two-theta, most intense first:
- 2θ 41.6, intensity 100
- 2θ 27.8, intensity 86
- 2θ 37.0, intensity 55
- 2θ 34.1, intensity 32
- 2θ 51.2, intensity 28
- 2θ 65.8, intensity 20
- 2θ 67.6, intensity 19
- 2θ 62.2, intensity 19
- 2θ 77.9, intensity 16
- 2θ 66.1, intensity 15
- 2θ 54.3, intensity 13
- 2θ 54.4, intensity 13

Structural model:
```
data_TaP2Ir
_cell_length_a 5.7768
_cell_length_b 5.7768
_cell_length_c 5.7768
_cell_angle_alpha 146.08
_cell_angle_beta 146.02
_cell_angle_gamma 48.78
_space_group_name_H-M_alt 'P 1'
_space_group_IT_number 1
_space_group_name_Hall 'P 1'
loop_
_atom_site_label
_atom_site_type_symbol
_atom_site_fract_x
_atom_site_fract_y
_atom_site_fract_z
_atom_site_occupancy
Ta1 Ta 0.0000 0.0000 0.0000 1
P1 P 0.1780 0.6780 0.5000 1
P2 P 0.4140 0.4140 0.0000 1
Ir1 Ir 0.7416 0.2416 0.5000 1
```